Starting from a structure optimized by DFT (GGA-PBE), the powder X-ray diffraction pattern of Pm3MgPd4 was calculated for Cu Ka.
Peak positions follow from Bragg's law for the DFT cell and can differ from measured ones.

Lattice parameters (Å, degrees): 6.6394 6.6394 5.9291 116.38 116.38 53.40
Fractional coordinates of all 8 atoms:
Pm1 0.0000 0.0000 0.0000
Pm2 0.2948 0.2948 0.5530
Pm3 0.5898 0.5898 0.5905
Mg1 0.7948 0.7948 0.3403
Pd1 0.0546 0.0546 0.5585
Pd2 0.0713 0.5177 0.0081
Pd3 0.5177 0.0713 0.0081
Pd4 0.5347 0.5347 0.0392

Principal peaks in the range 2θ from 10° to 90°, by angle:
| d_spacing | 2θ/deg | intensity |
| --- | --- | --- |
| 5.151 | 17.2 | 16.4 |
| 2.979 | 30.0 | 47.5 |
| 2.968 | 30.1 | 16.4 |
| 2.580 | 34.8 | 69.9 |
| 2.572 | 34.9 | 100.0 |
| 2.566 | 35.0 | 42.9 |
| 2.104 | 43.0 | 61.5 |
| 1.947 | 46.7 | 32.6 |
| 1.630 | 56.5 | 20.8 |
| 1.627 | 56.6 | 20.8 |
| 1.290 | 73.4 | 26.0 |
| 1.287 | 73.6 | 15.5 |

Starting from a structure optimized by DFT (GGA-PBE), the powder X-ray diffraction pattern of Pm3MgPd was calculated for Cu Ka.
Peak positions follow from Bragg's law for the DFT cell and can differ from measured ones.

Lattice parameters (Å, degrees): 7.1813 7.1813 7.8537 120.69 120.69 74.05
Fractional coordinates of all 10 atoms:
Pm1 0.0442 0.0442 0.3286
Pm2 0.0821 0.4817 0.2562
Pm3 0.4817 0.0821 0.2562
Pm4 0.5183 0.9179 0.7438
Pm5 0.9179 0.5183 0.7438
Pm6 0.9558 0.9558 0.6714
Mg1 0.4298 0.4298 0.7393
Mg2 0.5702 0.5702 0.2607
Pd1 0.2753 0.2753 0.9187
Pd2 0.7247 0.7247 0.0813

Principal peaks in the range 2θ from 10° to 90°, by angle:
| d_spacing | 2θ/deg | intensity |
| --- | --- | --- |
| 5.694 | 15.6 | 35.8 |
| 4.409 | 20.1 | 48.1 |
| 3.373 | 26.4 | 28.4 |
| 3.087 | 28.9 | 47.7 |
| 3.020 | 29.6 | 40.2 |
| 2.904 | 30.8 | 100.0 |
| 2.847 | 31.4 | 40.9 |
| 2.704 | 33.1 | 92.6 |
| 2.502 | 35.9 | 34.6 |
| 2.355 | 38.2 | 43.6 |
| 2.285 | 39.4 | 31.7 |
| 1.793 | 50.9 | 44.0 |

Starting from a structure optimized by DFT (GGA-PBE), the powder X-ray diffraction pattern of Pm2MgPd9 was calculated for Cu Ka.
Peak positions follow from Bragg's law for the DFT cell and can differ from measured ones.

Lattice parameters (Å, degrees): 4.1609 4.1609 12.0904 90.00 90.00 90.00
Fractional coordinates of all 12 atoms:
Pm1 0.0000 0.0000 0.1751
Pm2 0.0000 0.0000 0.8249
Mg1 0.0000 0.0000 0.5000
Pd1 0.0000 0.5000 0.0000
Pd2 0.0000 0.5000 0.3470
Pd3 0.0000 0.5000 0.6530
Pd4 0.5000 0.0000 0.0000
Pd5 0.5000 0.0000 0.3470
Pd6 0.5000 0.0000 0.6530
Pd7 0.5000 0.5000 0.1721
Pd8 0.5000 0.5000 0.5000
Pd9 0.5000 0.5000 0.8279

Principal peaks in the range 2θ from 10° to 90°, by angle:
| d_spacing | 2θ/deg | intensity |
| --- | --- | --- |
| 3.934 | 22.6 | 3.0 |
| 3.427 | 26.0 | 3.0 |
| 2.646 | 33.9 | 4.3 |
| 2.376 | 37.9 | 100.0 |
| 2.080 | 43.5 | 34.7 |
| 2.015 | 45.0 | 13.9 |
| 1.471 | 63.2 | 11.2 |
| 1.447 | 64.4 | 18.8 |
| 1.344 | 70.0 | 3.0 |
| 1.251 | 76.1 | 25.1 |
| 1.222 | 78.2 | 9.1 |
| 1.188 | 80.9 | 9.8 |

Starting from a structure optimized by DFT (GGA-PBE), the powder X-ray diffraction pattern of PrMg4Pd was calculated for Cu Ka.
Peak positions follow from Bragg's law for the DFT cell and can differ from measured ones.

Lattice parameters (Å, degrees): 8.8562 4.1886 7.5935 90.00 90.00 90.00
Fractional coordinates of all 12 atoms:
Pr1 0.2500 0.0000 0.1016
Pr2 0.7500 0.0000 0.8984
Mg1 0.0000 0.0000 0.5000
Mg2 0.0607 0.5000 0.8040
Mg3 0.2500 0.5000 0.4533
Mg4 0.4393 0.5000 0.8040
Mg5 0.5000 0.0000 0.5000
Mg6 0.5607 0.5000 0.1960
Mg7 0.7500 0.5000 0.5467
Mg8 0.9393 0.5000 0.1960
Pd1 0.2500 0.0000 0.7006
Pd2 0.7500 0.0000 0.2994

Principal peaks in the range 2θ from 10° to 90°, by angle:
| d_spacing | 2θ/deg | intensity |
| --- | --- | --- |
| 4.428 | 20.1 | 80.6 |
| 4.189 | 21.2 | 61.1 |
| 3.490 | 25.5 | 58.9 |
| 3.043 | 29.4 | 77.4 |
| 2.825 | 31.7 | 47.1 |
| 2.681 | 33.4 | 100.0 |
| 2.434 | 36.9 | 39.0 |
| 2.330 | 38.6 | 30.3 |
| 2.214 | 40.8 | 26.3 |
| 2.104 | 43.0 | 27.8 |
| 2.094 | 43.2 | 30.0 |
| 2.036 | 44.5 | 29.9 |